For FeIBr5, the GGA-PBE geometry in Alexandria gives the simulated X-ray diffraction stick pattern in this record (Cu Kα).

Main lines, most intense first (15° ≤ 2θ ≤ 90°):
d [Å]	Position (°2θ)	I/Imax
3.672	24.24	100.0
5.190	17.08	73.6
3.186	28.01	59.2
4.306	20.63	56.6
2.595	34.56	42.5
2.344	38.40	39.5
3.929	22.63	34.5
2.898	30.85	32.2
3.567	24.97	30.7
2.868	31.18	28.4

Atomic structure:
a = 7.9963 Å, b = 7.9992 Å, c = 10.3272 Å
α = 104.48°, β = 104.46°, γ = 99.18°
Positions (direct):
Fe  0.2002  0.3008  0.2503
Fe  0.7998  0.6992  0.7497
I  0.0000  0.0000  0.5000
I  0.5000  0.5000  0.0000
Br  0.0659  0.7602  0.9217
Br  0.2352  0.0548  0.3478
Br  0.2557  0.2440  0.7500
Br  0.2610  0.5668  0.4224
Br  0.4461  0.2651  0.1525
Br  0.5539  0.7349  0.8475
Br  0.7390  0.4332  0.5776
Br  0.7443  0.7560  0.2500
Br  0.7648  0.9452  0.6522
Br  0.9341  0.2398  0.0783

For Bi2Pd3, the GGA-PBE geometry in Alexandria gives the simulated X-ray diffraction stick pattern in this record (Cu Kα).

Main lines, most intense first (15° ≤ 2θ ≤ 90°):
d [Å]	Position (°2θ)	I/Imax
2.381	37.78	100.0
3.414	26.10	76.0
1.948	46.63	73.8
2.120	42.65	70.4
2.736	32.74	60.5
1.983	45.76	55.6
3.355	26.57	46.3
2.184	41.34	44.9
2.473	36.33	42.1
1.362	68.92	36.1

Atomic structure:
a = 7.2014 Å, b = 7.2014 Å, c = 7.2014 Å
α = 124.47°, β = 73.90°, γ = 135.35°
Positions (direct):
Bi  0.1563  0.2445  0.4007
Bi  0.3437  0.7445  0.0882
Bi  0.6563  0.2555  0.9118
Bi  0.8437  0.7555  0.5993
Pd  0.0958  0.6430  0.7388
Pd  0.2500  0.2500  0.0000
Pd  0.4042  0.1430  0.5472
Pd  0.5958  0.8570  0.4528
Pd  0.7500  0.7500  0.0000
Pd  0.9042  0.3570  0.2612

For Y4Zn, the GGA-PBE geometry in Alexandria gives the simulated X-ray diffraction stick pattern in this record (Cu Kα).

Main lines, most intense first (15° ≤ 2θ ≤ 90°):
d [Å]	Position (°2θ)	I/Imax
2.713	33.01	100.0
2.663	33.65	98.9
2.765	32.38	53.1
2.863	31.24	44.9
1.522	60.85	22.9
1.823	50.03	18.2
1.537	60.19	17.3
1.566	58.98	13.9
1.597	57.74	13.3
1.949	46.59	13.3

Atomic structure:
a = 6.5209 Å, b = 6.5209 Å, c = 12.6716 Å
α = 92.88°, β = 92.88°, γ = 32.47°
Positions (direct):
Y  0.0774  0.0774  0.3402
Y  0.1449  0.1449  0.0741
Y  0.3477  0.3477  0.4253
Y  0.4159  0.4159  0.1621
Y  0.5841  0.5841  0.8379
Y  0.6523  0.6523  0.5747
Y  0.8551  0.8551  0.9259
Y  0.9226  0.9226  0.6598
Zn  0.2550  0.2550  0.7497
Zn  0.7450  0.7450  0.2503

For Th4TeAsS2, the GGA-PBE geometry in Alexandria gives the simulated X-ray diffraction stick pattern in this record (Cu Kα).

Main lines, most intense first (15° ≤ 2θ ≤ 90°):
d [Å]	Position (°2θ)	I/Imax
2.111	42.84	100.0
2.989	29.89	89.0
3.447	25.85	71.5
2.978	30.01	43.3
1.724	53.14	35.5
1.336	70.47	31.2
1.802	50.66	25.1
1.220	78.42	23.2
1.333	70.68	14.5
1.797	50.81	11.7

Atomic structure:
a = 5.9781 Å, b = 5.9781 Å, c = 11.9124 Å
α = 90.00°, β = 90.00°, γ = 90.00°
Positions (direct):
Th  0.0000  0.0000  0.2415
Th  0.0000  0.0000  0.7585
Th  0.0000  0.5000  0.0000
Th  0.0000  0.5000  0.5000
Th  0.5000  0.0000  0.0000
Th  0.5000  0.0000  0.5000
Th  0.5000  0.5000  0.2585
Th  0.5000  0.5000  0.7415
Te  0.0000  0.0000  0.5000
Te  0.5000  0.5000  0.0000
As  0.0000  0.0000  0.0000
As  0.5000  0.5000  0.5000
S  0.0000  0.5000  0.2500
S  0.0000  0.5000  0.7500
S  0.5000  0.0000  0.2500
S  0.5000  0.0000  0.7500

For Ce2Sn3, the GGA-PBE geometry in Alexandria gives the simulated X-ray diffraction stick pattern in this record (Cu Kα).

Main lines, most intense first (15° ≤ 2θ ≤ 90°):
d [Å]	Position (°2θ)	I/Imax
2.758	32.46	100.0
2.420	37.15	32.6
1.454	64.03	22.5
1.678	54.70	21.7
2.329	38.67	16.5
1.414	66.09	13.3
1.711	53.55	9.8
1.379	67.98	9.8
1.108	88.16	3.7
1.724	53.11	2.7

Atomic structure:
a = 7.6537 Å, b = 7.6537 Å, c = 4.6572 Å
α = 90.00°, β = 90.00°, γ = 90.00°
Positions (direct):
Ce  0.1379  0.6962  0.0000
Ce  0.3038  0.1379  0.0000
Ce  0.6962  0.8621  0.0000
Ce  0.8621  0.3038  0.0000
Sn  0.0000  0.0000  0.5000
Sn  0.1852  0.4022  0.5000
Sn  0.4022  0.8148  0.5000
Sn  0.5000  0.5000  0.0000
Sn  0.5978  0.1852  0.5000
Sn  0.8148  0.5978  0.5000

For PrGa3Co10, the GGA-PBE geometry in Alexandria gives the simulated X-ray diffraction stick pattern in this record (Cu Kα).

Main lines, most intense first (15° ≤ 2θ ≤ 90°):
d [Å]	Position (°2θ)	I/Imax
2.347	38.34	100.0
1.947	46.66	87.2
2.319	38.83	86.9
2.311	38.97	83.9
2.581	34.75	60.5
1.907	47.69	60.3
1.917	47.42	55.4
1.913	47.53	51.8
2.531	35.47	47.9
1.927	47.18	45.9

Atomic structure:
a = 8.1108 Å, b = 8.0834 Å, c = 7.9835 Å
α = 60.63°, β = 60.29°, γ = 59.07°
Positions (direct):
Pr  0.0000  0.0000  0.5000
Pr  0.5000  0.5000  0.0000
Ga  0.0528  0.6933  0.9472
Ga  0.1896  0.5497  0.4503
Ga  0.4417  0.8003  0.5583
Ga  0.5497  0.1896  0.8104
Ga  0.6933  0.0528  0.3067
Ga  0.8003  0.4417  0.1997
Co  0.0443  0.8110  0.1890
Co  0.0473  0.4474  0.3134
Co  0.1834  0.9649  0.8166
Co  0.1839  0.3063  0.0550
Co  0.2466  0.2466  0.7534
Co  0.3063  0.1839  0.4548
Co  0.3073  0.9528  0.0472
Co  0.3105  0.5354  0.6895
Co  0.4474  0.0473  0.1919
Co  0.4533  0.6945  0.3055
Co  0.5354  0.3105  0.4646
Co  0.5452  0.9450  0.6937
Co  0.6866  0.8081  0.9527
Co  0.6945  0.4533  0.5467
Co  0.7470  0.7470  0.2530
Co  0.8081  0.6866  0.5526
Co  0.8110  0.0443  0.9557
Co  0.9450  0.5452  0.8161
Co  0.9528  0.3073  0.6927
Co  0.9649  0.1834  0.0351

For UVSi2Ru, the GGA-PBE geometry in Alexandria gives the simulated X-ray diffraction stick pattern in this record (Cu Kα).

Main lines, most intense first (15° ≤ 2θ ≤ 90°):
d [Å]	Position (°2θ)	I/Imax
2.491	36.05	100.0
3.759	23.67	68.9
2.591	34.62	52.8
2.024	44.77	34.6
1.595	57.80	24.9
1.241	76.80	22.5
1.810	50.43	20.7
1.782	51.26	18.9
2.529	35.50	18.4
1.580	58.40	17.6

Atomic structure:
a = 4.0483 Å, b = 4.0483 Å, c = 10.1157 Å
α = 90.00°, β = 90.00°, γ = 90.00°
Positions (direct):
U  0.0000  0.0000  0.0000
U  0.5000  0.5000  0.5000
V  0.0000  0.5000  0.2500
V  0.5000  0.0000  0.7500
Si  0.0000  0.0000  0.3834
Si  0.0000  0.0000  0.6166
Si  0.5000  0.5000  0.1166
Si  0.5000  0.5000  0.8834
Ru  0.0000  0.5000  0.7500
Ru  0.5000  0.0000  0.2500

For CaBeAl2Au5, the GGA-PBE geometry in Alexandria gives the simulated X-ray diffraction stick pattern in this record (Cu Kα).

Main lines, most intense first (15° ≤ 2θ ≤ 90°):
d [Å]	Position (°2θ)	I/Imax
3.128	28.54	100.0
2.449	36.69	67.3
2.209	40.85	41.5
2.246	40.15	29.0
1.575	58.61	29.0
1.495	62.09	26.4
2.164	41.73	25.6
1.352	69.55	16.4
2.179	41.44	15.0
2.725	32.87	13.6

Atomic structure:
a = 7.5342 Å, b = 7.5342 Å, c = 7.5342 Å
α = 145.31°, β = 133.11°, γ = 59.63°
Positions (direct):
Ca  0.0000  0.0000  0.0000
Be  0.5000  0.5000  0.0000
Al  0.3043  0.8043  0.5000
Al  0.6957  0.1957  0.5000
Au  0.1015  0.3546  0.7469
Au  0.3923  0.6454  0.7469
Au  0.5000  0.0000  0.5000
Au  0.6077  0.3546  0.2531
Au  0.8985  0.6454  0.2531

For LaPmPb3, the GGA-PBE geometry in Alexandria gives the simulated X-ray diffraction stick pattern in this record (Cu Kα).

Main lines, most intense first (15° ≤ 2θ ≤ 90°):
d [Å]	Position (°2θ)	I/Imax
2.990	29.88	100.0
2.978	30.01	46.0
2.490	36.07	43.3
2.301	39.14	29.0
2.277	39.58	26.6
2.259	39.90	25.1
4.603	19.28	21.8
2.963	30.16	20.6
1.612	57.13	17.9
1.817	50.21	16.1

Atomic structure:
a = 9.0375 Å, b = 9.0375 Å, c = 9.2060 Å
α = 90.00°, β = 90.00°, γ = 119.49°
Positions (direct):
La  0.0000  0.0000  0.2500
La  0.0000  0.0000  0.7500
La  0.5000  0.5000  0.2500
La  0.5000  0.5000  0.7500
Pm  0.0000  0.5000  0.2502
Pm  0.0000  0.5000  0.7498
Pm  0.5000  0.0000  0.2498
Pm  0.5000  0.0000  0.7502
Pb  0.1852  0.3810  0.5000
Pb  0.1852  0.3818  0.0000
Pb  0.2071  0.7921  0.0000
Pb  0.2079  0.7929  0.5000
Pb  0.3810  0.1852  0.0000
Pb  0.3818  0.1852  0.5000
Pb  0.6182  0.8148  0.5000
Pb  0.6190  0.8148  0.0000
Pb  0.7921  0.2071  0.5000
Pb  0.7929  0.2079  0.0000
Pb  0.8148  0.6182  0.0000
Pb  0.8148  0.6190  0.5000

For NbGaRuRh, the GGA-PBE geometry in Alexandria gives the simulated X-ray diffraction stick pattern in this record (Cu Kα).

Main lines, most intense first (15° ≤ 2θ ≤ 90°):
d [Å]	Position (°2θ)	I/Imax
2.249	40.10	100.0
2.087	43.37	39.9
1.234	77.36	27.7
1.335	70.57	18.0
1.475	63.00	12.8
1.736	52.72	11.1
1.124	86.58	10.5
3.577	24.89	1.3
2.951	30.29	1.2
3.473	25.65	0.9

Atomic structure:
a = 4.1731 Å, b = 4.1731 Å, c = 6.9455 Å
α = 90.00°, β = 90.00°, γ = 90.00°
Positions (direct):
Nb  0.0000  0.0000  0.0000
Nb  0.5000  0.5000  0.5000
Ga  0.0000  0.0000  0.5000
Ga  0.5000  0.5000  0.0000
Ru  0.0000  0.5000  0.2500
Ru  0.5000  0.0000  0.7500
Rh  0.0000  0.5000  0.7500
Rh  0.5000  0.0000  0.2500

For HfZr4Sc2, the GGA-PBE geometry in Alexandria gives the simulated X-ray diffraction stick pattern in this record (Cu Kα).

Main lines, most intense first (15° ≤ 2θ ≤ 90°):
d [Å]	Position (°2θ)	I/Imax
2.437	36.88	100.0
2.490	36.07	99.1
2.586	34.69	71.3
1.372	68.39	45.7
1.618	56.90	38.9
2.799	31.97	36.1
2.788	32.11	24.2
1.451	64.18	19.9
1.485	62.55	17.5
2.327	38.69	16.4

Atomic structure:
a = 18.1905 Å, b = 18.1905 Å, c = 18.1905 Å
α = 10.21°, β = 10.21°, γ = 10.21°
Positions (direct):
Hf  0.0000  0.0000  0.0000
Zr  0.0943  0.0943  0.0943
Zr  0.1896  0.1896  0.1896
Zr  0.6204  0.6204  0.6204
Zr  0.7134  0.7134  0.7134
Sc  0.8089  0.8089  0.8089
Sc  0.9046  0.9046  0.9046

For Pm2Ho2Se3S2, the GGA-PBE geometry in Alexandria gives the simulated X-ray diffraction stick pattern in this record (Cu Kα).

Main lines, most intense first (15° ≤ 2θ ≤ 90°):
d [Å]	Position (°2θ)	I/Imax
2.803	31.93	100.0
2.211	40.81	55.4
3.597	24.75	51.5
3.472	25.66	41.8
1.982	45.78	36.4
2.560	35.05	32.1
1.736	52.73	26.4
1.890	48.13	25.7
2.664	33.64	17.0
1.254	75.90	16.2

Atomic structure:
a = 8.2143 Å, b = 8.2143 Å, c = 8.2143 Å
α = 140.09°, β = 140.09°, γ = 57.71°
Positions (direct):
Pm  0.2115  0.2115  0.0000
Pm  0.7885  0.7885  0.0000
Ho  0.0000  0.5000  0.5000
Ho  0.5000  0.0000  0.5000
Se  0.0000  0.0000  0.0000
Se  0.2500  0.7500  0.5000
Se  0.7500  0.2500  0.5000
S  0.4026  0.4026  0.0000
S  0.5974  0.5974  0.0000

For TaAg2, the GGA-PBE geometry in Alexandria gives the simulated X-ray diffraction stick pattern in this record (Cu Kα).

Main lines, most intense first (15° ≤ 2θ ≤ 90°):
d [Å]	Position (°2θ)	I/Imax
2.295	39.26	100.0
2.516	35.68	73.1
1.980	45.83	50.4
1.204	79.61	33.0
1.402	66.72	21.6
2.704	33.13	18.2
1.618	56.91	17.2
2.076	43.59	16.7
1.233	77.38	14.9
1.415	66.03	14.8

Atomic structure:
a = 2.8297 Å, b = 2.8297 Å, c = 27.5065 Å
α = 90.00°, β = 90.00°, γ = 90.00°
Positions (direct):
Ta  0.0000  0.2500  0.3750
Ta  0.0000  0.7500  0.6250
Ta  0.5000  0.2500  0.1250
Ta  0.5000  0.7500  0.8750
Ag  0.0000  0.2500  0.7955
Ag  0.0000  0.2500  0.9545
Ag  0.0000  0.7500  0.0455
Ag  0.0000  0.7500  0.2045
Ag  0.5000  0.2500  0.5455
Ag  0.5000  0.2500  0.7045
Ag  0.5000  0.7500  0.2955
Ag  0.5000  0.7500  0.4545